Calculated X-ray powder pattern
Compound: Ce6In14Pt11
Radiation: Cu Kα
Structure: a structure optimized by DFT (PBE)

The 10 most intense peaks (2θ = 15–90°), by angle:
- 2θ = 24.2°, d 3.684, I 314
- 2θ = 30.2°, d 2.956, I 307
- 2θ = 32.3°, d 2.772, I 469
- 2θ = 34.4°, d 2.609, I 423
- 2θ = 35.1°, d 2.558, I 671
- 2θ = 35.8°, d 2.506, I 715
- 2θ = 40.5°, d 2.230, I 1000
- 2θ = 41.0°, d 2.200, I 599
- 2θ = 41.6°, d 2.172, I 441
- 2θ = 42.9°, d 2.106, I 383

Structural model:
a b c (Å): 11.657 11.657 15.229
angles (deg): 118.43 118.43 22.05
Fractional positions:
Ce1 0.119 0.119 0.359
Ce2 0.136 0.136 0.630
Ce3 0.368 0.368 0.184
Ce4 0.632 0.632 0.816
Ce5 0.864 0.864 0.370
Ce6 0.881 0.881 0.641
In1 0.065 0.065 0.101
In2 0.205 0.205 0.008
In3 0.234 0.234 0.248
In4 0.261 0.261 0.581
In5 0.381 0.381 0.972
In6 0.465 0.465 0.573
In7 0.487 0.487 0.801
In8 0.513 0.513 0.199
In9 0.535 0.535 0.427
In10 0.619 0.619 0.028
In11 0.739 0.739 0.419
In12 0.766 0.766 0.752
In13 0.795 0.795 0.992
In14 0.935 0.935 0.899
Pt1 0.000 0.000 0.500
Pt2 0.032 0.032 0.702
Pt3 0.063 0.063 0.904
Pt4 0.236 0.236 0.849
Pt5 0.326 0.326 0.463
Pt6 0.359 0.359 0.777
Pt7 0.641 0.641 0.223
Pt8 0.674 0.674 0.537
Pt9 0.764 0.764 0.151
Pt10 0.937 0.937 0.096
Pt11 0.968 0.968 0.298